Starting from DFT lattice parameters and positions (PBE), the X-ray powder pattern of Ce2AlNO3 was computed for copper Kα.
Intensities are scaled so that the largest is 1000.

The 10 most intense peaks (2θ from 10° to 90°), by angle:
- 2θ 24.87, I 448
- 2θ 28.62, I 186
- 2θ 32.20, I 1000
- 2θ 33.92, I 606
- 2θ 43.53, I 169
- 2θ 44.95, I 387
- 2θ 48.73, I 311
- 2θ 56.29, I 166
- 2θ 57.26, I 163
- 2θ 59.61, I 360

Crystal structure
abc: 6.776 6.776 6.776
angles: 147.98 147.98 45.91
Positions (direct):
Ce: 0.000 0.000 0.000
Ce: 0.295 0.295 0.000
Al: 0.642 0.642 0.000
N: 0.479 0.479 0.000
O: 0.152 0.652 0.500
O: 0.652 0.152 0.500
O: 0.813 0.813 0.000